This entry pairs a crystal structure of HfSc2Ru3 with its computed X-ray powder pattern. Radiation: Cu Kα. Structure: a crystal structure in Alexandria, relaxed with GGA-PBE.

Crystal structure
Cell lengths 4.5502, 4.5502, 11.1620 Å; angles 90.00, 90.00, 120.00 degrees
Element x y z (fractional)
Hf  0.3333  0.6667  0.1679
Hf  0.6667  0.3333  0.8321
Sc  0.0000  0.0000  0.0000
Sc  0.0000  0.0000  0.5000
Sc  0.3333  0.6667  0.6638
Sc  0.6667  0.3333  0.3362
Ru  0.0000  0.0000  0.2478
Ru  0.0000  0.0000  0.7522
Ru  0.3333  0.6667  0.4140
Ru  0.3333  0.6667  0.9170
Ru  0.6667  0.3333  0.0830
Ru  0.6667  0.3333  0.5860

The 10 most intense peaks (2θ = 10–90°), by intensity:
(hkl)	two_theta	d [Å]	intensity
1 1 0	39.59	2.276	100
2 1 4	71.82	1.314	25
0 2 4	57.24	1.610	17
1 0 1	23.94	3.717	15
3 0 0	71.88	1.314	8
0 1 5	46.80	1.941	8
2 0 8	85.23	1.139	5
2 2 0	85.33	1.138	5
2 0 5	62.93	1.477	4
1 0 0	22.56	3.941	3